Calculated powder diffraction line list of TcPbBr6 for copper Kα, from a cell relaxed with PBE.
Neutral-atom scattering factors, no anomalous dispersion.

Structural model:
```
data_TcPbBr6
_cell_length_a 8.8148
_cell_length_b 11.3019
_cell_length_c 7.4251
_cell_angle_alpha 90.00
_cell_angle_beta 114.73
_cell_angle_gamma 90.00
_space_group_name_H-M_alt 'C 1 2/m 1'
_space_group_IT_number 12
_space_group_name_Hall '-C 2y'
loop_
_atom_site_label
_atom_site_type_symbol
_atom_site_fract_x
_atom_site_fract_y
_atom_site_fract_z
Tc1 Tc 0.0000 0.0000 0.0000
Pb1 Pb 0.0000 0.0000 0.5000
Br1 Br 0.1291 0.1589 0.2628
Br2 Br 0.2413 0.5000 0.0698
```

Principal peaks in the range 10 to 80 degrees two-theta, in order of falling intensity:
2θ 13.55, rel. 100, hkl 1 1 0; 2θ 30.89, rel. 28, hkl 0 2 2; 2θ 15.68, rel. 23, hkl 0 2 0; 2θ 33.92, rel. 20, hkl 3 1 -2; 2θ 33.87, rel. 19, hkl 1 3 -2; 2θ 25.93, rel. 18, hkl 2 2 -1; 2θ 27.13, rel. 18, hkl 1 3 -1; 2θ 41.48, rel. 17, hkl 3 3 0; 2θ 40.87, rel. 16, hkl 1 3 2; 2θ 48.27, rel. 15, hkl 0 6 0